Computed powder XRD pattern
Compound: K3NdB2O6
Radiation: a wavelength of 1.5418 Å
Structure: a DFT-relaxed cell (PBE, Alexandria)
Intensities are scaled so that the largest is 1000.

Peak list (10 most intense, 2θ from 10° to 80°, low angle first)
14.48°, I 1000; 20.92°, I 335; 22.13°, I 328; 22.96°, I 399; 24.52°, I 361; 30.83°, I 769; 31.50°, I 361; 33.34°, I 367; 39.36°, I 332; 42.19°, I 374

Crystal structure
a = 9.157 Å, b = 7.261 Å, c = 11.344 Å
α = 90.00°, β = 90.00°, γ = 90.00°
Sites, in units of the cell vectors:
K  0.060  0.250  0.131
K  0.199  0.001  0.405
K  0.199  0.499  0.405
K  0.301  0.501  0.905
K  0.301  0.999  0.905
K  0.440  0.750  0.631
K  0.560  0.250  0.369
K  0.699  0.001  0.095
K  0.699  0.499  0.095
K  0.801  0.501  0.595
K  0.801  0.999  0.595
K  0.940  0.750  0.869
Nd  0.127  0.250  0.669
Nd  0.373  0.750  0.169
Nd  0.627  0.250  0.831
Nd  0.873  0.750  0.331
B  0.062  0.750  0.125
B  0.088  0.750  0.616
B  0.412  0.250  0.116
B  0.438  0.250  0.625
B  0.562  0.750  0.375
B  0.588  0.750  0.884
B  0.912  0.250  0.384
B  0.938  0.250  0.875
O  0.008  0.750  0.511
O  0.088  0.250  0.886
O  0.120  0.750  0.241
O  0.127  0.583  0.669
O  0.127  0.917  0.669
O  0.159  0.750  0.032
O  0.341  0.250  0.532
O  0.373  0.083  0.169
O  0.373  0.417  0.169
O  0.380  0.250  0.741
O  0.412  0.750  0.386
O  0.492  0.250  0.011
O  0.508  0.750  0.989
O  0.588  0.250  0.614
O  0.620  0.750  0.259
O  0.627  0.583  0.831
O  0.627  0.917  0.831
O  0.659  0.750  0.468
O  0.841  0.250  0.968
O  0.873  0.083  0.331
O  0.873  0.417  0.331
O  0.880  0.250  0.759
O  0.912  0.750  0.114
O  0.992  0.250  0.489


Computed powder XRD pattern
Compound: MnReMo
Radiation: a wavelength of 1.5418 Å
Structure: a DFT-relaxed cell (PBE, Alexandria)
Intensities are scaled so that the largest is 1000.

Peak list (10 most intense, 2θ from 10° to 80°, low angle first)
21.00°, I 315; 34.17°, I 328; 37.79°, I 974; 38.54°, I 809; 39.06°, I 1000; 40.80°, I 785; 43.30°, I 553; 46.32°, I 241; 48.83°, I 721; 79.77°, I 236

Crystal structure
a = 9.433 Å, b = 8.795 Å, c = 4.809 Å
α = 82.19°, β = 67.47°, γ = 30.33°
Sites, in units of the cell vectors:
Mn  0.004  0.004  0.246
Mn  0.246  0.246  0.004
Mn  0.754  0.754  0.996
Mn  0.996  0.996  0.754
Re  0.050  0.700  0.050
Re  0.300  0.950  0.300
Re  0.700  0.050  0.700
Re  0.950  0.300  0.950
Mo  0.297  0.297  0.453
Mo  0.453  0.453  0.297
Mo  0.547  0.547  0.703
Mo  0.703  0.703  0.547


Computed powder XRD pattern
Compound: Sm3Ni7B2
Radiation: a wavelength of 1.5418 Å
Structure: a DFT-relaxed cell (PBE, Alexandria)
Intensities are scaled so that the largest is 1000.

Peak list (10 most intense, 2θ from 10° to 80°, low angle first)
34.78°, I 478; 37.02°, I 241; 37.16°, I 1000; 40.37°, I 244; 40.88°, I 766; 43.16°, I 976; 63.91°, I 462; 68.15°, I 242; 72.74°, I 273; 73.41°, I 268

Crystal structure
a = 5.159 Å, b = 5.159 Å, c = 14.388 Å
α = 90.00°, β = 90.00°, γ = 120.00°
Sites, in units of the cell vectors:
Sm  0.333  0.667  0.031
Sm  0.333  0.667  0.250
Sm  0.333  0.667  0.469
Sm  0.667  0.333  0.531
Sm  0.667  0.333  0.750
Sm  0.667  0.333  0.969
Ni  0.000  0.000  0.000
Ni  0.000  0.000  0.500
Ni  0.165  0.330  0.651
Ni  0.165  0.330  0.849
Ni  0.165  0.835  0.651
Ni  0.165  0.835  0.849
Ni  0.330  0.165  0.151
Ni  0.330  0.165  0.349
Ni  0.670  0.835  0.651
Ni  0.670  0.835  0.849
Ni  0.835  0.165  0.151
Ni  0.835  0.165  0.349
Ni  0.835  0.670  0.151
Ni  0.835  0.670  0.349
B  0.000  0.000  0.250
B  0.000  0.000  0.750
B  0.333  0.667  0.750
B  0.667  0.333  0.250